The following is a theoretical PXRD pattern of Ba2ThSe4. It was derived from a cell relaxed with PBE, using a wavelength of 1.5418 Å.
Neutral-atom scattering factors, no anomalous dispersion.

Crystal structure
Lattice parameters (Å, degrees): 8.127 13.164 4.573 90.00 90.00 90.00
Space group Pbam (No. 55)
Unique sites:
Ba: 0.084 0.182 0.000
Th: 0.000 0.500 0.500
Se: 0.133 0.702 0.500
Se: 0.223 0.451 0.000

Most intense lines, 2θ from 10° to 90°, low angle first:
2theta  I (rel.)
12.8  642
23.0  688
23.3  1000
29.3  423
30.2  726
32.5  826
39.4  401
41.1  815
44.0  255
46.1  230